1.
Diffraction record for Tb2Pm3Er8. The powder diffraction line list is calculated, not measured: it uses a crystal structure in Alexandria, relaxed with PBE and Cu Kα (weighted mean of Kα1 and Kα2).
Kinematic intensities with the Lorentz-polarization factor, no thermal factor.

Largest 10 diffraction maxima, by angle, 10 to 90 degrees two-theta:
(4 0 -1), 24.94°, rel. 32
(2 2 1), 29.19°, rel. 66
(4 0 -2), 31.04°, rel. 75
(1 1 2), 31.71°, rel. 100
(1 3 -1), 32.27°, rel. 76
(2 2 -2), 32.84°, rel. 41
(5 1 0), 33.87°, rel. 74
(3 3 0), 35.37°, rel. 35
(3 3 -1), 35.61°, rel. 30
(5 5 0), 60.84°, rel. 35

Cell and atoms:
Unit cell a=14.6075 b=9.1192 c=6.8916 alpha=90.00 beta=108.83 gamma=90.00
Space group C2/m (No. 12)
Unique sites:
Tb 0.2167 0.0000 0.4231 (multiplicity 4)
Pm 0.0000 0.0000 0.0000 (multiplicity 2)
Pm 0.0000 0.1762 0.5000 (multiplicity 4)
Er 0.0828 0.5000 0.7326 (multiplicity 4)
Er 0.1186 0.3193 0.1766 (multiplicity 8)
Er 0.1924 0.0000 0.8971 (multiplicity 4)


2.
Diffraction record for Ca5Sm. The powder diffraction line list is calculated, not measured: it uses a crystal structure in Alexandria, relaxed with PBE and Cu Kα (weighted mean of Kα1 and Kα2).
Kinematic intensities with the Lorentz-polarization factor, no thermal factor.

Largest 10 diffraction maxima, by angle, 10 to 90 degrees two-theta:
(1 1 0), 15.23°, rel. 21
(1 3 0), 20.46°, rel. 11
(1 1 1), 26.20°, rel. 11
(2 0 0), 29.09°, rel. 52
(1 3 1), 29.62°, rel. 100
(2 6 0), 41.61°, rel. 19
(0 0 2), 43.15°, rel. 11
(3 3 1), 51.90°, rel. 38
(2 0 2), 52.89°, rel. 18
(2 6 2), 61.49°, rel. 14

Cell and atoms:
Unit cell a=6.1313 b=18.4423 c=4.1927 alpha=90.00 beta=90.00 gamma=90.00
Space group Cmmm (No. 65)
Unique sites:
Ca 0.0000 0.0000 0.0000 (multiplicity 2)
Ca 0.0000 0.1654 0.5000 (multiplicity 4)
Ca 0.0000 0.3380 0.0000 (multiplicity 4)
Sm 0.0000 0.5000 0.5000 (multiplicity 2)


3.
Diffraction record for PaMn5Ge3. The powder diffraction line list is calculated, not measured: it uses a crystal structure in Alexandria, relaxed with PBE and Cu Kα (weighted mean of Kα1 and Kα2).
Kinematic intensities with the Lorentz-polarization factor, no thermal factor.

Largest 10 diffraction maxima, by angle, 10 to 90 degrees two-theta:
(1 1 1), 24.41°, rel. 41
(0 4 1), 31.15°, rel. 40
(1 3 0), 31.47°, rel. 33
(1 1 3), 33.50°, rel. 87
(1 3 2), 35.45°, rel. 69
(0 4 3), 38.82°, rel. 40
(1 1 4), 39.94°, rel. 100
(1 5 0), 44.08°, rel. 72
(2 0 0), 44.39°, rel. 68
(1 3 4), 45.62°, rel. 45

Cell and atoms:
Unit cell a=4.0813 b=11.8884 c=11.1318 alpha=90.00 beta=90.00 gamma=90.00
Space group Cmcm (No. 63)
Unique sites:
Pa 0.0000 0.1778 0.2500 (multiplicity 4)
Mn 0.0000 0.0000 0.0000 (multiplicity 4)
Mn 0.0000 0.1971 0.5359 (multiplicity 8)
Mn 0.0000 0.4088 0.1354 (multiplicity 8)
Ge 0.0000 0.1156 0.7500 (multiplicity 4)
Ge 0.0000 0.3940 0.5795 (multiplicity 8)


4.
Diffraction record for Tl2ZnPdCl6. The powder diffraction line list is calculated, not measured: it uses a crystal structure in Alexandria, relaxed with PBE and Cu Kα (weighted mean of Kα1 and Kα2).
Kinematic intensities with the Lorentz-polarization factor, no thermal factor.

Largest 10 diffraction maxima, by angle, 10 to 90 degrees two-theta:
(0 1 5), 19.03°, rel. 45
(1 0 7), 22.55°, rel. 34
(1 1 0), 25.28°, rel. 100
(1 0 10), 28.70°, rel. 46
(2 0 5), 31.83°, rel. 54
(0 2 7), 34.13°, rel. 42
(0 2 10), 38.61°, rel. 41
(2 1 10), 46.71°, rel. 27
(2 2 0), 51.90°, rel. 33
(2 0 17), 52.44°, rel. 23

Cell and atoms:
Unit cell a=7.0472 b=7.0472 c=36.1568 alpha=90.00 beta=90.00 gamma=120.00
Space group R-3m (No. 166, hexagonal axes)
Unique sites:
Tl 0.0000 0.0000 0.1164 (multiplicity 6)
Tl 0.0000 0.0000 0.2970 (multiplicity 6)
Zn 0.0000 0.0000 0.4154 (multiplicity 6)
Pd 0.0000 0.0000 0.0000 (multiplicity 3)
Pd 0.0000 0.0000 0.5000 (multiplicity 3)
Cl 0.0046 0.5023 0.2938 (multiplicity 18)
Cl 0.0111 0.5055 0.1220 (multiplicity 18)